This entry pairs a crystal structure of TlCoPbCl6 with its theoretical powder XRD pattern. Radiation: Cu Kα, 1.54184 Å. Structure: a DFT-relaxed cell (GGA-PBE, Alexandria).

Most intense lines, 10 to 80 degrees two-theta, by intensity:
- 19.8°, rel. 100
- 37.3°, rel. 49
- 42.0°, rel. 31
- 25.7°, rel. 28
- 32.7°, rel. 28
- 45.3°, rel. 17
- 57.0°, rel. 13
- 43.1°, rel. 13
- 57.9°, rel. 12
- 60.1°, rel. 11
- 29.0°, rel. 9
- 50.9°, rel. 9

Cell and atoms:
abc: 6.929 6.929 6.717
angles: 90.00 90.00 120.00
Atoms (fractional coordinates):
1 Tl 0.000 0.000 0.000
2 Co 0.667 0.333 0.500
3 Pb 0.333 0.667 0.500
4 Cl 0.390 0.048 0.710
5 Cl 0.390 0.342 0.290
6 Cl 0.658 0.048 0.290
7 Cl 0.658 0.610 0.710
8 Cl 0.952 0.342 0.710
9 Cl 0.952 0.610 0.290

---

This entry pairs a crystal structure of AsPd2RuBr with its theoretical powder XRD pattern. Radiation: Cu Kα, 1.54184 Å. Structure: a DFT-relaxed cell (GGA-PBE, Alexandria).

Most intense lines, 10 to 80 degrees two-theta, by intensity:
- 35.8°, rel. 100
- 32.0°, rel. 88
- 54.4°, rel. 59
- 39.5°, rel. 38
- 51.5°, rel. 35
- 66.9°, rel. 31
- 19.5°, rel. 27
- 62.0°, rel. 26
- 17.7°, rel. 25
- 26.4°, rel. 23
- 41.1°, rel. 15
- 75.9°, rel. 11

Cell and atoms:
abc: 5.015 5.015 4.559
angles: 90.00 90.00 90.00
Atoms (fractional coordinates):
1 As 0.000 0.000 0.000
2 Pd 0.000 0.500 0.500
3 Pd 0.500 0.000 0.500
4 Ru 0.000 0.000 0.500
5 Br 0.500 0.500 0.000

---

This entry pairs a crystal structure of TaV2S6 with its theoretical powder XRD pattern. Radiation: Cu Kα, 1.54184 Å. Structure: a DFT-relaxed cell (GGA-PBE, Alexandria).

Most intense lines, 10 to 80 degrees two-theta, by intensity:
- 13.5°, rel. 100
- 36.5°, rel. 59
- 31.8°, rel. 27
- 48.8°, rel. 16
- 12.0°, rel. 16
- 56.0°, rel. 15
- 12.8°, rel. 13
- 57.9°, rel. 12
- 45.3°, rel. 11
- 39.0°, rel. 7
- 49.0°, rel. 7
- 20.9°, rel. 6

Cell and atoms:
abc: 8.288 8.288 7.582
angles: 113.82 113.82 22.85
Atoms (fractional coordinates):
1 Ta 0.000 0.000 0.000
2 V 0.326 0.326 0.654
3 V 0.674 0.674 0.346
4 S 0.165 0.165 0.107
5 S 0.172 0.172 0.569
6 S 0.491 0.491 0.753
7 S 0.509 0.509 0.247
8 S 0.828 0.828 0.431
9 S 0.835 0.835 0.893

---

This entry pairs a crystal structure of NbGa4Rh5 with its theoretical powder XRD pattern. Radiation: Cu Kα, 1.54184 Å. Structure: a DFT-relaxed cell (GGA-PBE, Alexandria).

Most intense lines, 10 to 80 degrees two-theta, by intensity:
- 41.2°, rel. 100
- 43.0°, rel. 50
- 77.5°, rel. 30
- 62.4°, rel. 16
- 73.7°, rel. 11
- 45.3°, rel. 6
- 56.8°, rel. 6
- 37.5°, rel. 5
- 79.3°, rel. 4
- 30.0°, rel. 3
- 63.0°, rel. 2
- 68.6°, rel. 2

Cell and atoms:
abc: 2.976 2.976 16.221
angles: 90.00 90.00 90.00
Atoms (fractional coordinates):
1 Nb 0.000 0.000 0.000
2 Ga 0.000 0.000 0.211
3 Ga 0.000 0.000 0.404
4 Ga 0.000 0.000 0.596
5 Ga 0.000 0.000 0.789
6 Rh 0.500 0.500 0.119
7 Rh 0.500 0.500 0.311
8 Rh 0.500 0.500 0.500
9 Rh 0.500 0.500 0.689
10 Rh 0.500 0.500 0.881

---

This entry pairs a crystal structure of Sm5Y12Er2 with its theoretical powder XRD pattern. Radiation: Cu Kα, 1.54184 Å. Structure: a DFT-relaxed cell (GGA-PBE, Alexandria).

Most intense lines, 10 to 80 degrees two-theta, by intensity:
- 30.6°, rel. 100
- 35.5°, rel. 50
- 60.7°, rel. 31
- 51.0°, rel. 24
- 51.1°, rel. 12
- 60.7°, rel. 10
- 63.7°, rel. 9
- 75.1°, rel. 6
- 63.6°, rel. 3
- 16.0°, rel. 3
- 18.3°, rel. 2
- 21.6°, rel. 1

Cell and atoms:
abc: 6.196 9.473 11.305
angles: 90.05 100.52 109.05
Atoms (fractional coordinates):
1 Sm 0.000 0.000 0.000
2 Sm 0.262 0.840 0.526
3 Sm 0.473 0.316 0.948
4 Sm 0.527 0.684 0.052
5 Sm 0.738 0.160 0.474
6 Y 0.053 0.369 0.106
7 Y 0.105 0.736 0.211
8 Y 0.158 0.106 0.317
9 Y 0.318 0.212 0.631
10 Y 0.368 0.579 0.735
11 Y 0.421 0.948 0.842
12 Y 0.579 0.052 0.158
13 Y 0.632 0.421 0.265
14 Y 0.682 0.788 0.369
15 Y 0.842 0.894 0.683
16 Y 0.895 0.264 0.789
17 Y 0.947 0.631 0.894
18 Er 0.210 0.474 0.422
19 Er 0.790 0.526 0.578

---

This entry pairs a crystal structure of Pm2MgPbN with its theoretical powder XRD pattern. Radiation: Cu Kα, 1.54184 Å. Structure: a DFT-relaxed cell (GGA-PBE, Alexandria).

Most intense lines, 10 to 80 degrees two-theta, by intensity:
- 32.1°, rel. 100
- 35.7°, rel. 42
- 61.8°, rel. 32
- 55.0°, rel. 24
- 26.7°, rel. 23
- 17.6°, rel. 21
- 51.3°, rel. 15
- 40.4°, rel. 15
- 67.3°, rel. 13
- 68.3°, rel. 12
- 45.1°, rel. 11
- 40.0°, rel. 6

Cell and atoms:
abc: 5.037 5.037 4.466
angles: 90.00 90.00 90.00
Atoms (fractional coordinates):
1 Pm 0.000 0.500 0.000
2 Pm 0.500 0.000 0.000
3 Mg 0.000 0.000 0.500
4 Pb 0.500 0.500 0.500
5 N 0.000 0.000 0.000